1.
# Na8InAu2
Theoretical X-ray powder pattern, Cu Ka. Input: a structure optimized by DFT (GGA-PBE).

Cell and atoms:
```
data_Na8InAu2
_cell_length_a 9.033
_cell_length_b 13.435
_cell_length_c 5.562
_cell_angle_alpha 90.00
_cell_angle_beta 105.11
_cell_angle_gamma 90.00
_symmetry_space_group_name_H-M 'C 1 2/m 1'
_symmetry_Int_Tables_number 12
_symmetry_space_group_name_Hall '-C 2y'
loop_
_atom_site_label
_atom_site_type_symbol
_atom_site_fract_x
_atom_site_fract_y
_atom_site_fract_z
_atom_site_occupancy
Na1 Na 0.000 0.242 0.000 1
Na2 Na 0.126 0.500 0.813 1
Na3 Na 0.189 0.127 0.583 1
In1 In 0.000 0.000 0.000 1
Au1 Au 0.000 0.320 0.500 1
```

Main lines, low angle first (2θ = 10–80°):
2θ/deg	Rel. int.	h k l
16.51	46	0 0 1
18.23	55	1 1 -1
20.37	80	2 0 0
21.18	71	0 2 1
22.32	100	1 3 0
22.61	49	1 1 1
26.28	41	2 2 -1
31.66	37	3 1 -1
33.37	33	0 0 2
36.87	61	3 3 0
37.65	39	1 5 -1
38.13	32	1 3 -2

---

2.
# Sm2Y5Tm4
Theoretical X-ray powder pattern, Cu Ka. Input: a structure optimized by DFT (GGA-PBE).

Cell and atoms:
```
data_Sm2Y5Tm4
_cell_length_a 16.329
_cell_length_b 5.654
_cell_length_c 9.295
_cell_angle_alpha 90.00
_cell_angle_beta 124.29
_cell_angle_gamma 90.00
_symmetry_space_group_name_H-M 'C 1 2/m 1'
_symmetry_Int_Tables_number 12
_symmetry_space_group_name_Hall '-C 2y'
loop_
_atom_site_label
_atom_site_type_symbol
_atom_site_fract_x
_atom_site_fract_y
_atom_site_fract_z
_atom_site_occupancy
Sm1 Sm 0.089 0.000 0.249 1
Y1 Y 0.000 0.000 0.500 1
Y2 Y 0.156 0.500 0.563 1
Y3 Y 0.211 0.500 0.248 1
Tm1 Tm 0.053 0.500 0.802 1
Tm2 Tm 0.186 0.000 0.987 1
```

Main lines, low angle first (2θ = 10–80°):
2θ/deg	Rel. int.	h k l
19.10	16	2 0 -2
29.54	33	2 0 -3
31.65	59	0 2 0
31.98	74	5 1 -2
32.32	100	3 1 1
32.43	16	5 1 -1
32.96	47	3 1 -3
43.84	22	2 2 -3
56.79	21	3 3 1
58.06	18	6 0 2
58.90	15	8 2 -1
62.50	15	5 1 -6

---

3.
# Cd2InHg5
Theoretical X-ray powder pattern, Cu Ka. Input: a structure optimized by DFT (GGA-PBE).

Cell and atoms:
```
data_Cd2InHg5
_cell_length_a 7.814
_cell_length_b 7.814
_cell_length_c 13.588
_cell_angle_alpha 90.00
_cell_angle_beta 90.00
_cell_angle_gamma 90.00
_symmetry_space_group_name_H-M 'I 4/m c m'
_symmetry_Int_Tables_number 140
_symmetry_space_group_name_Hall '-I 4 2c'
loop_
_atom_site_label
_atom_site_type_symbol
_atom_site_fract_x
_atom_site_fract_y
_atom_site_fract_z
_atom_site_occupancy
Cd1 Cd 0.143 0.357 0.000 1
In1 In 0.000 0.000 0.250 1
Hg1 Hg 0.000 0.000 0.000 1
Hg2 Hg 0.152 0.348 0.340 1
```

Main lines, low angle first (2θ = 10–80°):
2θ/deg	Rel. int.	h k l
26.33	8	2 1 1
30.90	14	1 1 4
32.36	100	2 1 3
35.00	12	2 0 4
36.36	44	3 1 0
39.81	13	0 0 6
46.46	9	4 0 0
52.32	10	4 1 3
55.00	14	3 1 6
65.30	7	3 3 6
67.59	10	2 1 9
67.81	19	5 2 3

---

4.
# BPtW
Theoretical X-ray powder pattern, Cu Ka. Input: a structure optimized by DFT (GGA-PBE).

Cell and atoms:
```
data_BPtW
_cell_length_a 3.0378
_cell_length_b 3.0378
_cell_length_c 28.5249
_cell_angle_alpha 90.00
_cell_angle_beta 90.00
_cell_angle_gamma 120.00
_symmetry_space_group_name_H-M 'R 3 m'
_symmetry_Int_Tables_number 160
_symmetry_space_group_name_Hall 'R 3 -2"'
loop_
_atom_site_label
_atom_site_type_symbol
_atom_site_fract_x
_atom_site_fract_y
_atom_site_fract_z
_atom_site_occupancy
B1 B 0.0000 0.0000 0.0000 1
B2 B 0.0000 0.0000 0.3333 1
Pt1 Pt 0.0000 0.0000 0.2067 1
Pt2 Pt 0.0000 0.0000 0.4599 1
W1 W 0.0000 0.0000 0.6137 1
W2 W 0.0000 0.0000 0.7197 1
```

Main lines, low angle first (2θ = 10–80°):
2θ/deg	Rel. int.	h k l
34.23	45	1 0 1
34.67	37	0 1 2
36.40	75	1 0 4
37.65	21	0 1 5
37.85	45	0 0 12
40.83	67	1 0 7
42.71	100	0 1 8
46.99	24	1 0 10
61.00	54	1 1 0
72.49	19	1 0 19
74.07	39	1 1 12
75.88	18	0 1 20

---

5.
# Co5Te12Pt
Theoretical X-ray powder pattern, Cu Ka. Input: a structure optimized by DFT (GGA-PBE).

Cell and atoms:
```
data_Co5Te12Pt
_cell_length_a 6.592
_cell_length_b 11.399
_cell_length_c 11.783
_cell_angle_alpha 90.00
_cell_angle_beta 100.69
_cell_angle_gamma 90.00
_symmetry_space_group_name_H-M 'C 1 2/m 1'
_symmetry_Int_Tables_number 12
_symmetry_space_group_name_Hall '-C 2y'
loop_
_atom_site_label
_atom_site_type_symbol
_atom_site_fract_x
_atom_site_fract_y
_atom_site_fract_z
_atom_site_occupancy
Co1 Co 0.000 0.000 0.000 1
Co2 Co 0.000 0.167 0.500 1
Co3 Co 0.000 0.332 0.000 1
Te1 Te 0.109 0.000 0.380 1
Te2 Te 0.136 0.324 0.380 1
Te3 Te 0.204 0.500 0.113 1
Te4 Te 0.205 0.167 0.114 1
Pt1 Pt 0.000 0.500 0.500 1
```

Main lines, low angle first (2θ = 10–80°):
2θ/deg	Rel. int.	h k l
15.31	40	0 0 2
30.03	100	1 3 -2
30.89	15	0 0 4
32.63	54	1 3 2
34.17	22	1 3 -3
37.64	38	2 0 -4
45.79	21	2 0 4
47.84	57	0 6 0
50.34	16	1 3 5
57.52	15	4 0 -3
57.67	15	1 3 6
58.04	14	3 3 -5

---

6.
# K2DyNb5O15
Theoretical X-ray powder pattern, Cu Ka. Input: a structure optimized by DFT (GGA-PBE).

Cell and atoms:
```
data_K2DyNb5O15
_cell_length_a 12.746
_cell_length_b 12.746
_cell_length_c 3.956
_cell_angle_alpha 90.00
_cell_angle_beta 90.00
_cell_angle_gamma 90.00
_symmetry_space_group_name_H-M 'P 4/m b m'
_symmetry_Int_Tables_number 127
_symmetry_space_group_name_Hall '-P 4 2ab'
loop_
_atom_site_label
_atom_site_type_symbol
_atom_site_fract_x
_atom_site_fract_y
_atom_site_fract_z
_atom_site_occupancy
K1 K 0.171 0.329 0.000 1
Dy1 Dy 0.000 0.000 0.000 1
Nb1 Nb 0.000 0.500 0.500 1
Nb2 Nb 0.076 0.788 0.500 1
O1 O 0.000 0.500 0.000 1
O2 O 0.001 0.342 0.500 1
O3 O 0.059 0.131 0.500 1
O4 O 0.078 0.815 0.000 1
O5 O 0.217 0.717 0.500 1
```

Main lines, low angle first (2θ = 10–80°):
2θ/deg	Rel. int.	h k l
13.90	45	2 0 0
22.47	26	0 0 1
25.19	40	3 2 0
27.44	33	2 1 1
28.00	21	4 0 0
28.88	49	4 1 0
30.06	36	2 2 1
31.39	47	4 2 0
31.69	100	3 1 1
44.98	30	6 2 0
45.87	32	0 0 2
56.07	49	5 5 1

---

7.
# La2Pr2ErAg5
Theoretical X-ray powder pattern, Cu Ka. Input: a structure optimized by DFT (GGA-PBE).

Cell and atoms:
```
data_La2Pr2ErAg5
_cell_length_a 11.203
_cell_length_b 11.203
_cell_length_c 4.290
_cell_angle_alpha 90.00
_cell_angle_beta 90.00
_cell_angle_gamma 90.00
_symmetry_space_group_name_H-M 'P 4/m b m'
_symmetry_Int_Tables_number 127
_symmetry_space_group_name_Hall '-P 4 2ab'
loop_
_atom_site_label
_atom_site_type_symbol
_atom_site_fract_x
_atom_site_fract_y
_atom_site_fract_z
_atom_site_occupancy
La1 La 0.172 0.328 0.000 1
Pr1 Pr 0.132 0.632 0.000 1
Er1 Er 0.000 0.000 0.000 1
Ag1 Ag 0.000 0.500 0.500 1
Ag2 Ag 0.064 0.821 0.500 1
```

Main lines, low angle first (2θ = 10–80°):
2θ/deg	Rel. int.	h k l
30.72	13	2 2 1
32.79	100	3 1 1
32.97	21	4 1 0
33.95	13	3 3 0
35.68	24	3 2 1
35.85	8	4 2 0
42.13	20	0 0 2
45.82	7	4 4 0
48.77	7	6 0 0
54.51	10	4 1 2
55.17	6	3 3 2
71.10	10	3 1 3

---

8.
# Y5Co2Rh
Theoretical X-ray powder pattern, Cu Ka. Input: a structure optimized by DFT (GGA-PBE).

Cell and atoms:
```
data_Y5Co2Rh
_cell_length_a 7.143
_cell_length_b 7.143
_cell_length_c 14.355
_cell_angle_alpha 90.00
_cell_angle_beta 90.00
_cell_angle_gamma 90.00
_symmetry_space_group_name_H-M 'I 4/m c m'
_symmetry_Int_Tables_number 140
_symmetry_space_group_name_Hall '-I 4 2c'
loop_
_atom_site_label
_atom_site_type_symbol
_atom_site_fract_x
_atom_site_fract_y
_atom_site_fract_z
_atom_site_occupancy
Y1 Y 0.000 0.000 0.000 1
Y2 Y 0.177 0.323 0.142 1
Co1 Co 0.111 0.389 0.500 1
Rh1 Rh 0.000 0.000 0.250 1
```

Main lines, low angle first (2θ = 10–80°):
2θ/deg	Rel. int.	h k l
30.56	23	1 1 4
33.73	95	2 1 3
35.48	100	2 0 4
39.91	50	3 1 0
42.33	11	2 1 5
50.89	12	0 0 8
53.26	13	4 1 1
56.48	16	4 1 3
60.76	20	3 3 4
66.55	16	3 1 8
71.25	12	4 1 7
72.42	16	5 1 4